(1)
Starting from a DFT-relaxed cell (GGA-PBE, the Materials Project), the powder X-ray diffraction pattern of U2InRh2 was simulated for Cu Kα.

Crystal structure
Cell: 7.640 7.640 3.577 Å, 90.00 90.00 90.00°
Space group P4/mbm (No. 127)
Inequivalent atoms, fractional coordinates:
U: 0.165 0.335 0.000 (multiplicity 4)
In: 0.000 0.000 0.500 (multiplicity 2)
Rh: 0.138 0.638 0.500 (multiplicity 4)

Largest 10 diffraction maxima, low angle first, 2θ = 5–70°:
2θ = 26.08°, intensity 15, (2 1 0)
2θ = 29.96°, intensity 7, (1 1 1)
2θ = 34.34°, intensity 21, (2 0 1)
2θ = 36.36°, intensity 100, (2 1 1)
2θ = 37.22°, intensity 40, (3 1 0)
2θ = 50.70°, intensity 10, (3 3 0)
2θ = 51.06°, intensity 12, (0 0 2)
2θ = 55.88°, intensity 17, (4 1 1)
2θ = 57.28°, intensity 10, (3 3 1)
2θ = 64.86°, intensity 16, (3 1 2)

---

(2)
Starting from a DFT-relaxed cell (GGA-PBE, the Materials Project), the powder X-ray diffraction pattern of Mg2Si was simulated for Cu Kα.

Crystal structure
Cell: 5.883 5.984 7.814 Å, 70.86 80.56 66.27°
Space group P1 (No. 1)
Inequivalent atoms, fractional coordinates:
Mg: 0.000 0.000 0.000 (multiplicity 1)
Mg: 0.061 0.503 0.949 (multiplicity 1)
Mg: 0.151 0.151 0.330 (multiplicity 1)
Mg: 0.329 0.601 0.333 (multiplicity 1)
Mg: 0.392 0.864 0.678 (multiplicity 1)
Mg: 0.518 0.948 0.009 (multiplicity 1)
Mg: 0.680 0.070 0.345 (multiplicity 1)
Mg: 0.919 0.443 0.624 (multiplicity 1)
Si: 0.474 0.329 0.695 (multiplicity 1)
Si: 0.566 0.442 0.972 (multiplicity 1)
Si: 0.842 0.627 0.261 (multiplicity 1)
Si: 0.877 0.965 0.669 (multiplicity 1)

Largest 10 diffraction maxima, low angle first, 2θ = 5–70°:
2θ = 31.15°, intensity 31, (2 1 0)
2θ = 34.21°, intensity 30, (0 2 0)
2θ = 35.80°, intensity 94, (0 2 2)
2θ = 35.95°, intensity 69, (2 0 -1)
2θ = 36.18°, intensity 40, (2 2 1)
2θ = 36.54°, intensity 100, (0 0 3)
2θ = 37.89°, intensity 33, (1 2 -1)
2θ = 38.58°, intensity 29, (2 2 2)
2θ = 39.69°, intensity 58, (0 2 -1)
2θ = 40.77°, intensity 58, (2 0 2)

---

(3)
Starting from a DFT-relaxed cell (GGA-PBE, the Materials Project), the powder X-ray diffraction pattern of ZrFe4N4 was simulated for Cu Kα.

Crystal structure
Cell: 5.403 5.475 7.524 Å, 71.75 83.18 60.80°
Space group P-1 (No. 2)
Inequivalent atoms, fractional coordinates:
Zr: 0.250 0.143 0.186 (multiplicity 2)
Fe: 0.179 0.313 0.765 (multiplicity 2)
Fe: 0.224 0.940 0.601 (multiplicity 2)
Fe: 0.268 0.594 0.413 (multiplicity 2)
Fe: 0.272 0.729 0.998 (multiplicity 2)
N: 0.016 0.901 0.193 (multiplicity 2)
N: 0.034 0.709 0.604 (multiplicity 2)
N: 0.350 0.386 0.932 (multiplicity 2)
N: 0.494 0.223 0.582 (multiplicity 2)

Largest 10 diffraction maxima, low angle first, 2θ = 5–70°:
2θ = 35.72°, intensity 100, (1 1 -2)
2θ = 37.66°, intensity 70, (0 2 1)
2θ = 37.99°, intensity 45, (1 1 3)
2θ = 38.20°, intensity 67, (2 0 0)
2θ = 38.47°, intensity 67, (2 2 1)
2θ = 45.58°, intensity 65, (-1 1 3)
2θ = 46.00°, intensity 64, (1 -1 2)
2θ = 59.53°, intensity 25, (1 3 -1)
2θ = 59.96°, intensity 32, (3 1 -2)
2θ = 68.16°, intensity 22, (-2 2 1)

---

(4)
Starting from a DFT-relaxed cell (GGA-PBE, the Materials Project), the powder X-ray diffraction pattern of LiHfMg14 was simulated for Cu Kα.

Crystal structure
Cell: 6.3936 6.3936 10.1414 Å, 90.00 90.00 120.00°
Space group P-6m2 (No. 187)
Inequivalent atoms, fractional coordinates:
Li: 0.0000 0.0000 0.0000 (multiplicity 1)
Hf: 0.0000 0.0000 0.5000 (multiplicity 1)
Mg: 0.0011 0.5006 0.0000 (multiplicity 3)
Mg: 0.0045 0.5022 0.5000 (multiplicity 3)
Mg: 0.1643 0.3285 0.2502 (multiplicity 6)
Mg: 0.6667 0.3333 0.2512 (multiplicity 2)

Largest 10 diffraction maxima, low angle first, 2θ = 5–70°:
2θ = 8.72°, intensity 62, (0 0 1)
2θ = 16.01°, intensity 29, (1 0 0)
2θ = 18.25°, intensity 75, (1 0 1)
2θ = 23.79°, intensity 22, (1 0 2)
2θ = 29.29°, intensity 24, (1 1 1)
2θ = 30.99°, intensity 21, (1 0 3)
2θ = 32.34°, intensity 28, (2 0 0)
2θ = 35.40°, intensity 25, (0 0 4)
2θ = 36.99°, intensity 100, (2 0 2)
2θ = 69.52°, intensity 19, (2 2 4)

---

(5)
Starting from a DFT-relaxed cell (GGA-PBE, the Materials Project), the powder X-ray diffraction pattern of Eu2YSbO6 was simulated for Cu Kα.

Crystal structure
Cell: 8.388 8.388 8.388 Å, 90.00 90.00 90.00°
Space group Fm-3m (No. 225)
Inequivalent atoms, fractional coordinates:
Eu: 0.250 0.250 0.250 (multiplicity 8)
Y: 0.000 0.000 0.000 (multiplicity 4)
Sb: 0.000 0.000 0.500 (multiplicity 4)
O: 0.000 0.000 0.263 (multiplicity 24)

Largest 9 diffraction maxima, low angle first, 2θ = 5–70°:
2θ = 18.32°, intensity 1, (1 1 1)
2θ = 21.18°, intensity 1, (2 0 0)
2θ = 30.14°, intensity 100, (2 2 0)
2θ = 37.13°, intensity 6, (2 2 2)
2θ = 43.14°, intensity 30, (4 0 0)
2θ = 48.54°, intensity 1, (4 2 0)
2θ = 53.52°, intensity 40, (4 2 2)
2θ = 62.65°, intensity 18, (4 4 0)
2θ = 66.94°, intensity 1, (4 4 2)

---

(6)
Starting from a DFT-relaxed cell (GGA-PBE, the Materials Project), the powder X-ray diffraction pattern of Tm5Ge3C was simulated for Cu Kα.

Crystal structure
Cell: 8.4202 8.4202 6.3042 Å, 90.00 90.00 120.00°
Space group P6_3/mcm (No. 193)
Inequivalent atoms, fractional coordinates:
Tm: 0.0000 0.2215 0.2500 (multiplicity 6)
Tm: 0.3333 0.6667 0.0000 (multiplicity 4)
Ge: 0.0000 0.4035 0.7500 (multiplicity 6)
C: 0.0000 0.0000 0.0000 (multiplicity 2)

Largest 10 diffraction maxima, low angle first, 2θ = 5–70°:
2θ = 30.91°, intensity 22, (1 0 2)
2θ = 32.49°, intensity 26, (2 1 0)
2θ = 35.56°, intensity 100, (1 1 2)
2θ = 36.98°, intensity 13, (3 0 0)
2θ = 45.42°, intensity 7, (2 2 1)
2θ = 52.26°, intensity 13, (2 2 2)
2θ = 54.94°, intensity 18, (2 1 3)
2θ = 57.96°, intensity 12, (4 1 0)
2θ = 58.52°, intensity 16, (0 0 4)
2θ = 68.55°, intensity 12, (3 3 1)

---

(7)
Starting from a DFT-relaxed cell (GGA-PBE, the Materials Project), the powder X-ray diffraction pattern of EuAg3 was simulated for Cu Kα.

Crystal structure
Cell: 6.7544 6.7544 4.8280 Å, 90.00 90.00 120.00°
Space group P6_3/mmc (No. 194)
Inequivalent atoms, fractional coordinates:
Eu: 0.3333 0.6667 0.2500 (multiplicity 2)
Ag: 0.1439 0.2878 0.7500 (multiplicity 6)

Largest 10 diffraction maxima, low angle first, 2θ = 5–70°:
2θ = 23.90°, intensity 7, (1 0 1)
2θ = 30.57°, intensity 25, (2 0 0)
2θ = 35.90°, intensity 100, (2 0 1)
2θ = 37.25°, intensity 22, (0 0 2)
2θ = 48.92°, intensity 13, (2 0 2)
2θ = 50.48°, intensity 7, (3 0 1)
2θ = 54.33°, intensity 15, (2 2 0)
2θ = 66.29°, intensity 16, (2 0 3)
2θ = 66.85°, intensity 10, (4 0 1)
2θ = 67.72°, intensity 16, (2 2 2)

---

(8)
Starting from a DFT-relaxed cell (GGA-PBE, the Materials Project), the powder X-ray diffraction pattern of Sb3W was simulated for Cu Kα.

Crystal structure
Cell: 4.897 4.897 7.431 Å, 90.00 90.00 90.00°
Space group I4/mmm (No. 139)
Inequivalent atoms, fractional coordinates:
Sb: 0.000 0.000 0.000 (multiplicity 2)
Sb: 0.000 0.500 0.250 (multiplicity 4)
W: 0.000 0.000 0.500 (multiplicity 2)

Largest 10 diffraction maxima, low angle first, 2θ = 5–70°:
2θ = 21.73°, intensity 4, (1 0 1)
2θ = 25.73°, intensity 1, (1 1 0)
2θ = 35.43°, intensity 100, (1 1 2)
2θ = 36.70°, intensity 45, (2 0 0)
2θ = 40.82°, intensity 1, (1 0 3)
2θ = 43.06°, intensity 1, (2 1 1)
2θ = 49.03°, intensity 10, (0 0 4)
2θ = 52.88°, intensity 16, (2 2 0)
2θ = 62.78°, intensity 19, (2 0 4)
2θ = 65.27°, intensity 33, (3 1 2)